# 1
Starting from the PBE geometry in Alexandria, the powder diffractogram of CaCeTe2O8 was calculated for λ = 1.5418 Å (Cu Kα).
Lines closer than 0.1° are merged.

Main lines, by angle (10° ≤ 2θ ≤ 80°):
2θ/deg	Rel. int.
23.99	100
29.78	14
30.65	83
34.18	21
46.56	67
49.12	17
55.38	15
58.16	15
59.02	20
70.00	14

```
data_CaCeTe2O8
_symmetry_space_group_name_H-M 'I -4 m 2'
_symmetry_Int_Tables_number 119
_symmetry_space_group_name_Hall 'I -4 -2'
_cell_length_a 7.419
_cell_length_b 7.419
_cell_length_c 7.018
_cell_angle_alpha 90.00
_cell_angle_beta 90.00
_cell_angle_gamma 90.00
loop_
_atom_site_label
_atom_site_fract_x
_atom_site_fract_y
_atom_site_fract_z
Ca1 0.000 0.000 0.000
Ce1 0.000 0.500 0.750
Te1 0.000 0.000 0.500
Te2 0.000 0.500 0.250
O1 0.000 0.199 0.694
O2 0.000 0.316 0.072
```

---

# 2
Starting from the PBE geometry in Alexandria, the powder diffractogram of CaCeOs was calculated for λ = 1.5418 Å (Cu Kα).
Lines closer than 0.1° are merged.

Main lines, by angle (10° ≤ 2θ ≤ 80°):
2θ/deg	Rel. int.
13.16	100
32.86	82
37.05	44
39.48	28
42.69	47
53.40	15
55.25	11
64.14	24
67.78	12
70.65	21

```
data_CaCeOs
_symmetry_space_group_name_H-M 'I 4 m m'
_symmetry_Int_Tables_number 107
_symmetry_space_group_name_Hall 'I 4 -2'
_cell_length_a 3.432
_cell_length_b 3.432
_cell_length_c 13.460
_cell_angle_alpha 90.00
_cell_angle_beta 90.00
_cell_angle_gamma 90.00
loop_
_atom_site_label
_atom_site_fract_x
_atom_site_fract_y
_atom_site_fract_z
Ca1 0.000 0.000 0.000
Ce1 0.000 0.000 0.748
Os1 0.000 0.000 0.355
```

---

# 3
Starting from the PBE geometry in Alexandria, the powder diffractogram of CaCe4P5 was calculated for λ = 1.5418 Å (Cu Kα).
Lines closer than 0.1° are merged.

Main lines, by angle (10° ≤ 2θ ≤ 80°):
2θ/deg	Rel. int.
26.60	66
30.80	100
44.10	48
44.17	24
52.24	24
52.32	8
54.75	19
64.13	8
72.78	11
72.89	16

```
data_CaCe4P5
_symmetry_space_group_name_H-M 'C 1 2/m 1'
_symmetry_Int_Tables_number 12
_cell_length_a 13.599
_cell_length_b 4.111
_cell_length_c 10.058
_cell_angle_alpha 90.00
_cell_angle_beta 119.56
_cell_angle_gamma 90.00
loop_
_symmetry_equiv_pos_as_xyz
'x,y,z'
'-x,-y,-z'
'-x,y,-z'
'x,-y,z'
'x+1/2,y+1/2,z'
'-x+1/2,-y+1/2,-z'
'-x+1/2,y+1/2,-z'
'x+1/2,-y+1/2,z'
loop_
_atom_site_label
_atom_site_fract_x
_atom_site_fract_y
_atom_site_fract_z
Ca1 0.000 0.000 0.000
Ce1 0.098 0.500 0.397
Ce2 0.202 0.000 0.800
P1 0.000 0.000 0.500
P2 0.105 0.500 0.896
P3 0.202 0.000 0.305
```

---

# 4
Starting from the PBE geometry in Alexandria, the powder diffractogram of CaCe4P6 was calculated for λ = 1.5418 Å (Cu Kα).
Lines closer than 0.1° are merged.

Main lines, by angle (10° ≤ 2θ ≤ 80°):
2θ/deg	Rel. int.
22.47	44
24.91	94
27.95	100
31.58	52
34.36	57
35.61	36
37.79	58
48.19	35
48.89	37
70.04	34

```
data_CaCe4P6
_symmetry_space_group_name_H-M 'R -3 c'
_symmetry_Int_Tables_number 167
_symmetry_space_group_name_Hall '-R 3 2"c'
_cell_length_a 11.0577
_cell_length_b 11.0577
_cell_length_c 14.0546
_cell_angle_alpha 90.00
_cell_angle_beta 90.00
_cell_angle_gamma 120.00
loop_
_atom_site_label
_atom_site_fract_x
_atom_site_fract_y
_atom_site_fract_z
Ca1 0.0000 0.0000 0.0000
Ce1 0.0000 0.0000 0.2500
Ce2 0.0000 0.3822 0.2500
P1 0.0293 0.2113 0.3860
```

---

# 5
Starting from the PBE geometry in Alexandria, the powder diffractogram of Ca3CeSb2P was calculated for λ = 1.5418 Å (Cu Kα).
Lines closer than 0.1° are merged.

Main lines, by angle (10° ≤ 2θ ≤ 80°):
2θ/deg	Rel. int.
10.88	30
17.27	36
23.63	45
26.09	40
32.42	100
33.08	45
34.26	28
47.00	16
48.37	30
60.19	16

```
data_Ca3CeSb2P
_symmetry_space_group_name_H-M 'I m m m'
_symmetry_Int_Tables_number 71
_symmetry_space_group_name_Hall '-I 2 2'
_cell_length_a 5.235
_cell_length_b 5.413
_cell_length_c 16.261
_cell_angle_alpha 90.00
_cell_angle_beta 90.00
_cell_angle_gamma 90.00
loop_
_atom_site_label
_atom_site_fract_x
_atom_site_fract_y
_atom_site_fract_z
Ca1 0.000 0.000 0.000
Ca2 0.000 0.500 0.324
Ce1 0.000 0.000 0.500
Sb1 0.000 0.500 0.133
P1 0.000 0.500 0.500
```

---

# 6
Starting from the PBE geometry in Alexandria, the powder diffractogram of Ca2CeSmP4 was calculated for λ = 1.5418 Å (Cu Kα).
Lines closer than 0.1° are merged.

Main lines, by angle (10° ≤ 2θ ≤ 80°):
2θ/deg	Rel. int.
13.27	43
25.22	26
26.40	36
26.73	12
30.67	100
43.71	36
44.14	35
45.88	12
51.97	12
54.34	19

```
data_Ca2CeSmP4
_symmetry_space_group_name_H-M 'P 1 2/m 1'
_symmetry_Int_Tables_number 10
_cell_length_a 7.090
_cell_length_b 4.140
_cell_length_c 7.178
_cell_angle_alpha 90.00
_cell_angle_beta 109.80
_cell_angle_gamma 90.00
loop_
_symmetry_equiv_pos_as_xyz
'x,y,z'
'-x,-y,-z'
'-x,y,-z'
'x,-y,z'
loop_
_atom_site_label
_atom_site_fract_x
_atom_site_fract_y
_atom_site_fract_z
Ca1 0.000 0.000 0.000
Ca2 0.000 0.500 0.500
Ce1 0.500 0.000 0.500
Sm1 0.500 0.500 0.000
P1 0.261 0.000 0.750
P2 0.265 0.500 0.259
```

---

# 7
Starting from the PBE geometry in Alexandria, the powder diffractogram of Ca3Ce2ZrP6 was calculated for λ = 1.5418 Å (Cu Kα).
Lines closer than 0.1° are merged.

Main lines, by angle (10° ≤ 2θ ≤ 80°):
2θ/deg	Rel. int.
13.35	38
25.80	19
26.94	41
31.21	100
44.72	70
52.98	15
55.57	18
65.09	11
73.89	14
74.01	15

```
data_Ca3Ce2ZrP6
_symmetry_space_group_name_H-M 'C 1 2/m 1'
_symmetry_Int_Tables_number 12
_cell_length_a 7.013
_cell_length_b 12.149
_cell_length_c 7.033
_cell_angle_alpha 90.00
_cell_angle_beta 109.47
_cell_angle_gamma 90.00
loop_
_symmetry_equiv_pos_as_xyz
'x,y,z'
'-x,-y,-z'
'-x,y,-z'
'x,-y,z'
'x+1/2,y+1/2,z'
'-x+1/2,-y+1/2,-z'
'-x+1/2,y+1/2,-z'
'x+1/2,-y+1/2,z'
loop_
_atom_site_label
_atom_site_fract_x
_atom_site_fract_y
_atom_site_fract_z
Ca1 0.000 0.000 0.000
Ca2 0.000 0.332 0.000
Ce1 0.000 0.166 0.500
Zr1 0.000 0.500 0.500
P1 0.237 0.339 0.729
P2 0.245 0.500 0.271
```

---

# 8
Starting from the PBE geometry in Alexandria, the powder diffractogram of CaCe2Pb4 was calculated for λ = 1.5418 Å (Cu Kα).
Lines closer than 0.1° are merged.

Main lines, by angle (10° ≤ 2θ ≤ 80°):
2θ/deg	Rel. int.
20.69	41
25.72	17
28.21	15
29.42	97
35.24	100
41.21	22
42.09	37
56.02	54
66.68	18
69.19	17

```
data_CaCe2Pb4
_symmetry_space_group_name_H-M 'I 4/m m m'
_symmetry_Int_Tables_number 139
_symmetry_space_group_name_Hall '-I 4 2'
_cell_length_a 6.073
_cell_length_b 6.073
_cell_length_c 12.652
_cell_angle_alpha 90.00
_cell_angle_beta 90.00
_cell_angle_gamma 90.00
loop_
_atom_site_label
_atom_site_fract_x
_atom_site_fract_y
_atom_site_fract_z
Ca1 0.000 0.000 0.000
Ce1 0.000 0.000 0.361
Pb1 0.000 0.500 0.000
Pb2 0.000 0.500 0.250
```

---

# 9
Starting from the PBE geometry in Alexandria, the powder diffractogram of CaCeRhPb was calculated for λ = 1.5418 Å (Cu Kα).
Lines closer than 0.1° are merged.

Main lines, by angle (10° ≤ 2θ ≤ 80°):
2θ/deg	Rel. int.
20.82	17
24.09	8
34.33	100
40.49	10
49.34	18
54.11	5
55.63	4
61.48	37
72.35	11
76.24	4

```
data_CaCeRhPb
_symmetry_space_group_name_H-M 'F -4 3 m'
_symmetry_Int_Tables_number 216
_symmetry_space_group_name_Hall 'F -4 2 3'
_cell_length_a 7.388
_cell_length_b 7.388
_cell_length_c 7.388
_cell_angle_alpha 90.00
_cell_angle_beta 90.00
_cell_angle_gamma 90.00
loop_
_atom_site_label
_atom_site_fract_x
_atom_site_fract_y
_atom_site_fract_z
Ca1 0.000 0.000 0.000
Ce1 0.000 0.000 0.500
Rh1 0.250 0.250 0.750
Pb1 0.250 0.250 0.250
```

---

# 10
Starting from the PBE geometry in Alexandria, the powder diffractogram of Ca5CePd6 was calculated for λ = 1.5418 Å (Cu Kα).
Lines closer than 0.1° are merged.

Main lines, by angle (10° ≤ 2θ ≤ 80°):
2θ/deg	Rel. int.
11.80	6
25.16	11
35.72	100
35.87	49
51.19	8
51.64	16
64.09	16
64.33	17
64.43	15
75.68	10

```
data_Ca5CePd6
_symmetry_space_group_name_H-M 'C m m m'
_symmetry_Int_Tables_number 65
_symmetry_space_group_name_Hall '-C 2 2'
_cell_length_a 5.012
_cell_length_b 15.004
_cell_length_c 7.138
_cell_angle_alpha 90.00
_cell_angle_beta 90.00
_cell_angle_gamma 90.00
loop_
_atom_site_label
_atom_site_fract_x
_atom_site_fract_y
_atom_site_fract_z
Ca1 0.000 0.000 0.000
Ca2 0.000 0.328 0.500
Ca3 0.000 0.333 0.000
Ce1 0.000 0.000 0.500
Pd1 0.000 0.158 0.256
Pd2 0.000 0.500 0.267
```

---

# 11
Starting from the PBE geometry in Alexandria, the powder diffractogram of Ca2CePd9 was calculated for λ = 1.5418 Å (Cu Kα).
Lines closer than 0.1° are merged.

Main lines, by angle (10° ≤ 2θ ≤ 80°):
2θ/deg	Rel. int.
14.33	2
22.60	2
25.86	2
37.63	100
43.62	33
43.95	16
63.39	10
63.64	21
76.12	24
76.59	12

```
data_Ca2CePd9
_symmetry_space_group_name_H-M 'P 4/m m m'
_symmetry_Int_Tables_number 123
_symmetry_space_group_name_Hall '-P 4 2'
_cell_length_a 4.150
_cell_length_b 4.150
_cell_length_c 12.362
_cell_angle_alpha 90.00
_cell_angle_beta 90.00
_cell_angle_gamma 90.00
loop_
_atom_site_label
_atom_site_fract_x
_atom_site_fract_y
_atom_site_fract_z
Ca1 0.000 0.000 0.165
Ce1 0.000 0.000 0.500
Pd1 0.000 0.500 0.000
Pd2 0.000 0.500 0.338
Pd3 0.500 0.500 0.168
Pd4 0.500 0.500 0.500
```

---

# 12
Starting from the PBE geometry in Alexandria, the powder diffractogram of CaCe3Pm2Se6 was calculated for λ = 1.5418 Å (Cu Kα).
Lines closer than 0.1° are merged.

Main lines, by angle (10° ≤ 2θ ≤ 80°):
2θ/deg	Rel. int.
26.01	7
30.05	100
42.86	37
43.13	24
43.23	12
53.54	13
62.46	8
70.67	11
71.02	11
79.02	10

```
data_CaCe3Pm2Se6
_symmetry_space_group_name_H-M 'C 1 2/m 1'
_symmetry_Int_Tables_number 12
_cell_length_a 18.372
_cell_length_b 4.185
_cell_length_c 8.453
_cell_angle_alpha 90.00
_cell_angle_beta 103.73
_cell_angle_gamma 90.00
loop_
_symmetry_equiv_pos_as_xyz
'x,y,z'
'-x,-y,-z'
'-x,y,-z'
'x,-y,z'
'x+1/2,y+1/2,z'
'-x+1/2,-y+1/2,-z'
'-x+1/2,y+1/2,-z'
'x+1/2,-y+1/2,z'
loop_
_atom_site_label
_atom_site_fract_x
_atom_site_fract_y
_atom_site_fract_z
Ca1 0.000 0.000 0.000
Ce1 0.000 0.000 0.500
Ce2 0.168 0.500 0.832
Pm1 0.169 0.500 0.338
Se1 0.001 0.500 0.245
Se2 0.164 0.000 0.083
Se3 0.166 0.000 0.583
```